(1)
The following is a theoretical X-ray powder pattern of Mg3AgCl8. It was derived from a structure optimized by DFT (PBE), using Cu Ka.
Peak positions follow from Bragg's law for the DFT cell and can differ from measured ones.

The 12 most intense peaks (2θ from 10° to 80°), most intense first:
two_theta, d_spacing, I (rel.)
13.64, 6.490, 100
33.24, 2.695, 71
33.85, 2.648, 34
49.29, 1.849, 22
47.04, 1.932, 21
14.53, 6.095, 19
42.78, 2.114, 18
28.08, 3.177, 14
16.45, 5.390, 13
51.11, 1.787, 12
48.97, 1.860, 12
46.46, 1.954, 11

Crystal structure
a = 7.3960 Å, b = 7.3960 Å, c = 7.8334 Å
α = 118.94°, β = 118.94°, γ = 60.41°
Fractional coordinates of all 12 atoms:
Mg (0.0000, 0.0000, 0.0000)
Mg (0.0000, 0.5000, 0.0000)
Mg (0.5000, 0.0000, 0.0000)
Ag (0.5000, 0.5000, 0.0000)
Cl (0.2250, 0.7487, 0.2164)
Cl (0.2400, 0.2400, 0.2122)
Cl (0.2513, 0.7750, 0.7836)
Cl (0.2559, 0.2559, 0.7860)
Cl (0.7441, 0.7441, 0.2140)
Cl (0.7487, 0.2250, 0.2164)
Cl (0.7600, 0.7600, 0.7878)
Cl (0.7750, 0.2513, 0.7836)


(2)
The following is a theoretical X-ray powder pattern of Ce4H3N. It was derived from a structure optimized by DFT (PBE), using Cu Ka.
Peak positions follow from Bragg's law for the DFT cell and can differ from measured ones.

The 6 most intense peaks (2θ from 10° to 80°), most intense first:
two_theta, d_spacing, I (rel.)
30.96, 2.888, 100
35.90, 2.501, 58
61.48, 1.508, 43
51.68, 1.769, 40
64.53, 1.444, 14
76.11, 1.251, 6

Crystal structure
a = 5.0025 Å, b = 5.0025 Å, c = 5.0025 Å
α = 90.00°, β = 90.00°, γ = 90.00°
Fractional coordinates of all 8 atoms:
Ce (0.0000, 0.0000, 0.0000)
Ce (0.0000, 0.5000, 0.5000)
Ce (0.5000, 0.0000, 0.5000)
Ce (0.5000, 0.5000, 0.0000)
H (0.0000, 0.0000, 0.5000)
H (0.0000, 0.5000, 0.0000)
H (0.5000, 0.0000, 0.0000)
N (0.5000, 0.5000, 0.5000)